# Y2Zn3
Simulated X-ray powder pattern, copper Kα. Input: the PBE geometry in the Materials Project.
No peak broadening, texture or thermal motion is included.

Largest 10 diffraction maxima, low angle first, 2θ = 15–90°:
(hkl)  Position (°2θ)  Rel. int.
0 4 0  18.24  27
1 1 -1  18.81  93
0 6 1  33.19  98
0 8 0  36.93  100
2 4 -1  37.04  42
0 2 2  38.06  32
2 2 -2  38.21  64
2 3 0  39.64  25
2 5 0  43.95  24
2 0 2  66.53  20

Structure:
```
Y2Zn3
1.0
5.599 0.000 0.000
0.000 19.469 0.000
-2.793 0.000 4.875
Y Zn
8 12
Direct
0.000 0.084 0.000
0.000 0.416 0.000
0.000 0.584 0.000
0.000 0.916 0.000
0.333 0.132 0.665
0.333 0.368 0.665
0.667 0.632 0.335
0.667 0.868 0.335
0.000 0.000 0.500
0.000 0.500 0.500
0.149 0.250 0.298
0.150 0.250 0.852
0.298 0.750 0.148
0.500 0.000 0.000
0.500 0.000 0.500
0.500 0.500 0.000
0.500 0.500 0.500
0.702 0.250 0.852
0.850 0.750 0.148
0.851 0.750 0.702
```